Calculated powder X-ray diffraction pattern of La3Ni4P4O2 for Cu Kα, from a GGA+U-relaxed structure.

Principal peaks in the range 2θ from 10° to 90°, sorted by position:
2θ (°)	Rel. int.
24.5	69.6
32.8	100.0
34.4	28.3
34.5	46.6
37.9	72.0
45.3	64.3
57.0	40.1
58.1	25.1

Structural model:
a b c (Å): 13.336 13.336 13.336
angles (deg): 162.72 162.72 24.54
Positions (direct):
1 La 0.000 0.000 0.000
2 La 0.298 0.298 0.000
3 La 0.702 0.702 0.000
4 Ni 0.092 0.592 0.500
5 Ni 0.408 0.908 0.500
6 Ni 0.592 0.092 0.500
7 Ni 0.908 0.408 0.500
8 P 0.131 0.131 0.000
9 P 0.450 0.450 0.000
10 P 0.550 0.550 0.000
11 P 0.869 0.869 0.000
12 O 0.250 0.750 0.500
13 O 0.750 0.250 0.500